Diffraction record for Mg15Mo. The PXRD pattern is computed, not measured: it uses a structure optimized by DFT (PBE) and Cu Kα (weighted mean of Kα1 and Kα2).

Structural model:
Cell lengths 6.313, 6.313, 10.083 Å; angles 90.00, 90.00, 120.00 degrees
Fractional coordinates of all 16 atoms:
Mg 0.000 0.000 0.000
Mg 0.000 0.500 0.500
Mg 0.002 0.501 0.000
Mg 0.160 0.321 0.260
Mg 0.160 0.321 0.740
Mg 0.160 0.840 0.260
Mg 0.160 0.840 0.740
Mg 0.499 0.501 0.000
Mg 0.499 0.998 0.000
Mg 0.500 0.000 0.500
Mg 0.500 0.500 0.500
Mg 0.667 0.333 0.249
Mg 0.667 0.333 0.751
Mg 0.679 0.840 0.260
Mg 0.679 0.840 0.740
Mo 0.000 0.000 0.500

Largest 10 diffraction maxima, sorted by position, 2θ = 10–90°:
(1 0 0), 2θ = 16.2°, I = 14.6
(1 0 1), 2θ = 18.5°, I = 19.1
(2 0 0), 2θ = 32.8°, I = 25.8
(0 0 4), 2θ = 35.6°, I = 25.1
(2 0 2), 2θ = 37.4°, I = 100.0
(2 0 4), 2θ = 49.2°, I = 15.6
(2 2 0), 2θ = 58.5°, I = 17.0
(2 0 6), 2θ = 65.2°, I = 17.6
(2 2 4), 2θ = 70.4°, I = 18.5
(4 0 2), 2θ = 71.5°, I = 13.5